No. 1
# RbCu2SbSe4
Theoretical X-ray diffraction stick pattern, CuKα. Input: DFT lattice parameters and positions (PBE).

Cell and atoms:
Lattice parameters (Å, degrees): 6.552 8.425 9.140 90.00 90.00 90.00
Space group I222 (No. 23)
Asymmetric unit:
Rb: 0.000 0.000 0.000 x2
Cu: 0.000 0.500 0.146 x4
Sb: 0.000 0.000 0.500 x2
Se: 0.228 0.170 0.336 x8

Top 8 peaks for 2θ = 15–90°, in order of rising 2θ:
2theta, d [Å], I (rel.), hkl
26.0, 3.425, 100, 1 1 2
27.0, 3.304, 45, 1 2 1
28.8, 3.097, 21, 0 2 2
33.7, 2.663, 22, 2 0 2
34.7, 2.586, 53, 2 2 0
40.1, 2.248, 23, 1 3 2
43.3, 2.090, 33, 1 1 4
47.4, 1.919, 21, 3 1 2

No. 2
# RbCuSbTe2
Theoretical X-ray diffraction stick pattern, CuKα. Input: DFT lattice parameters and positions (PBE).

Cell and atoms:
Lattice parameters (Å, degrees): 8.116 5.715 8.083 90.00 98.03 90.00
Space group P2/c (No. 13)
Asymmetric unit:
Rb: 0.000 0.216 0.250 x2
Cu: 0.500 0.000 0.000 x2
Sb: 0.500 0.333 0.250 x2
Te: 0.278 0.289 0.907 x4

Top 8 peaks for 2θ = 15–90°, in order of rising 2θ:
2theta, d [Å], I (rel.), hkl
21.3, 4.175, 48, 1 1 -1
22.9, 3.891, 44, 1 1 1
23.4, 3.800, 39, 1 0 -2
28.1, 3.170, 100, 2 1 -1
30.6, 2.923, 51, 2 1 1
37.2, 2.417, 55, 0 1 3
45.1, 2.009, 24, 4 0 0
46.7, 1.945, 22, 2 2 2

No. 3
# Rb2CuSe8
Theoretical X-ray diffraction stick pattern, CuKα. Input: DFT lattice parameters and positions (PBE).

Cell and atoms:
Lattice parameters (Å, degrees): 10.817 7.057 8.931 90.00 102.73 90.00
Space group C2/m (No. 12)
Asymmetric unit:
Rb: 0.193 0.000 0.134 x4
Cu: 0.000 0.500 0.500 x2
Se: 0.029 0.254 0.705 x8
Se: 0.144 0.500 0.179 x4
Se: 0.165 0.000 0.623 x4

Top 8 peaks for 2θ = 15–90°, in order of rising 2θ:
2theta, d [Å], I (rel.), hkl
20.4, 4.356, 44, 0 0 2
29.3, 3.045, 59, 2 0 2
30.5, 2.933, 71, 2 2 0
34.7, 2.584, 100, 2 2 -2
40.2, 2.242, 37, 0 2 3
48.6, 1.873, 34, 2 0 4
51.3, 1.781, 49, 4 2 2
51.8, 1.764, 27, 0 4 0

No. 4
# RbCu3SiSe4
Theoretical X-ray diffraction stick pattern, CuKα. Input: DFT lattice parameters and positions (PBE).

Cell and atoms:
Lattice parameters (Å, degrees): 6.219 6.219 6.219 90.00 90.00 90.00
Space group P-43m (No. 215)
Asymmetric unit:
Rb: 0.000 0.000 0.000 x1
Cu: 0.000 0.500 0.500 x3
Si: 0.500 0.500 0.500 x1
Se: 0.290 0.290 0.710 x4

Top 8 peaks for 2θ = 15–90°, in order of rising 2θ:
2theta, d [Å], I (rel.), hkl
24.8, 3.590, 100, 1 1 1
35.4, 2.539, 16, 2 1 1
41.1, 2.199, 82, 2 2 0
48.6, 1.875, 39, 3 1 1
59.5, 1.555, 10, 4 0 0
63.5, 1.466, 12, 4 1 1
65.4, 1.427, 10, 3 3 1
74.8, 1.269, 17, 4 2 2

No. 5
# RbCuTeSe2
Theoretical X-ray diffraction stick pattern, CuKα. Input: DFT lattice parameters and positions (PBE).

Cell and atoms:
Lattice parameters (Å, degrees): 8.977 16.157 4.857 90.00 90.00 90.00
Space group Cmme (No. 67)
Asymmetric unit:
Rb: 0.000 0.250 0.183 x4
Cu: 0.000 0.000 0.000 x4
Te: 0.250 0.000 0.500 x4
Se: 0.000 0.103 0.671 x8

Top 8 peaks for 2θ = 15–90°, in order of rising 2θ:
2theta, d [Å], I (rel.), hkl
19.8, 4.488, 44, 2 0 0
26.6, 3.347, 100, 1 3 1
29.3, 3.052, 33, 2 2 1
35.1, 2.554, 93, 2 4 1
38.8, 2.323, 38, 0 2 2
39.1, 2.303, 35, 3 3 1
40.2, 2.244, 36, 4 0 0
43.4, 2.084, 40, 2 6 1

No. 6
# RbTiCu3Se4
Theoretical X-ray diffraction stick pattern, CuKα. Input: DFT lattice parameters and positions (PBE).

Cell and atoms:
Lattice parameters (Å, degrees): 6.199 6.199 6.199 90.00 90.00 90.00
Space group P-43m (No. 215)
Asymmetric unit:
Rb: 0.000 0.000 0.000 x1
Ti: 0.500 0.500 0.500 x1
Cu: 0.000 0.500 0.500 x3
Se: 0.280 0.280 0.720 x4

Top 8 peaks for 2θ = 15–90°, in order of rising 2θ:
2theta, d [Å], I (rel.), hkl
20.3, 4.383, 10, 1 1 0
24.9, 3.579, 100, 1 1 1
35.5, 2.531, 12, 2 1 1
41.2, 2.192, 97, 2 2 0
48.7, 1.869, 41, 3 1 1
59.7, 1.550, 13, 4 0 0
65.7, 1.422, 13, 3 3 1
75.1, 1.265, 24, 4 2 2

No. 7
# RbTlCu2Se2
Theoretical X-ray diffraction stick pattern, CuKα. Input: DFT lattice parameters and positions (PBE).

Cell and atoms:
Lattice parameters (Å, degrees): 8.561 5.274 8.600 90.00 111.83 90.00
Space group P2_1/m (No. 11)
Asymmetric unit:
Rb: 0.169 0.250 0.333 x2
Tl: 0.376 0.750 0.122 x2
Cu: 0.267 0.000 0.768 x4
Se: 0.126 0.250 0.890 x2
Se: 0.390 0.750 0.627 x2

Top 8 peaks for 2θ = 15–90°, in order of rising 2θ:
2theta, d [Å], I (rel.), hkl
25.1, 3.553, 12, 2 0 -2
26.9, 3.309, 12, 2 1 -1
28.1, 3.178, 100, 0 1 2
37.4, 2.404, 20, 2 0 2
42.7, 2.118, 27, 2 2 -2
51.4, 1.777, 10, 4 0 -4
58.0, 1.591, 10, 0 2 4
58.1, 1.587, 10, 4 2 0

No. 8
# RbU3Cu4Se12
Theoretical X-ray diffraction stick pattern, CuKα. Input: DFT lattice parameters and positions (PBE).

Cell and atoms:
Lattice parameters (Å, degrees): 14.5183 14.5183 10.1216 90.00 90.00 120.00
Space group R32 (No. 155, hexagonal axes)
Asymmetric unit:
Rb: 0.0000 0.0000 0.0000 x3
U: 0.0000 0.5630 0.0000 x9
Cu: 0.0000 0.0000 0.5000 x3
Cu: 0.0000 0.4345 0.5000 x9
Se: 0.0000 0.5966 0.5000 x9
Se: 0.0000 0.8393 0.5000 x9
Se: 0.0589 0.2343 0.1893 x18

Top 8 peaks for 2θ = 15–90°, in order of rising 2θ:
2theta, d [Å], I (rel.), hkl
16.6, 5.340, 32, 0 2 1
20.6, 4.302, 64, 2 1 1
22.6, 3.942, 100, 2 0 2
31.1, 2.871, 99, 3 1 2
40.9, 2.204, 32, 5 1 1
42.5, 2.129, 35, 4 1 3
44.2, 2.048, 37, 1 3 4
54.2, 1.693, 32, 0 7 2

No. 9
# RbUCuSe4
Theoretical X-ray diffraction stick pattern, CuKα. Input: DFT lattice parameters and positions (PBE).

Cell and atoms:
Lattice parameters (Å, degrees): 7.056 5.780 9.712 90.00 106.50 90.00
Space group P2_1/m (No. 11)
Asymmetric unit:
Rb: 0.242 0.250 0.051 x2
U: 0.269 0.250 0.554 x2
Cu: 0.263 0.750 0.335 x2
Se: 0.015 0.510 0.695 x4
Se: 0.428 0.750 0.585 x2
Se: 0.469 0.750 0.180 x2

Top 8 peaks for 2θ = 15–90°, in order of rising 2θ:
2theta, d [Å], I (rel.), hkl
20.2, 4.394, 71, 1 1 0
27.9, 3.203, 85, 2 0 -2
30.4, 2.937, 100, 1 1 2
31.9, 2.802, 71, 2 1 -2
33.7, 2.658, 63, 1 2 0
37.1, 2.426, 95, 1 0 -4
40.3, 2.238, 63, 2 1 2
42.3, 2.139, 67, 3 1 -2

No. 10
# Rb2YCu2Se4
Theoretical X-ray diffraction stick pattern, CuKα. Input: DFT lattice parameters and positions (PBE).

Cell and atoms:
Lattice parameters (Å, degrees): 15.176 4.066 8.232 90.00 108.43 90.00
Space group C2/m (No. 12)
Asymmetric unit:
Rb: 0.132 0.000 0.055 x4
Y: 0.000 0.000 0.500 x2
Cu: 0.182 0.500 0.487 x4
Se: 0.023 0.500 0.273 x4
Se: 0.201 0.000 0.669 x4

Top 8 peaks for 2θ = 15–90°, in order of rising 2θ:
2theta, d [Å], I (rel.), hkl
27.9, 3.198, 37, 4 0 -2
28.7, 3.106, 41, 3 1 -1
30.5, 2.935, 50, 4 0 1
30.9, 2.891, 100, 1 1 -2
33.0, 2.714, 36, 3 1 -2
33.2, 2.700, 37, 3 1 1
44.6, 2.033, 39, 0 2 0
50.1, 1.820, 42, 3 1 3

No. 11
# RbY2CuSe4
Theoretical X-ray diffraction stick pattern, CuKα. Input: DFT lattice parameters and positions (PBE).

Cell and atoms:
Lattice parameters (Å, degrees): 4.146 14.361 14.451 90.00 90.00 90.00
Space group Cmcm (No. 63)
Asymmetric unit:
Rb: 0.000 0.111 0.250 x4
Y: 0.000 0.366 0.064 x8
Cu: 0.000 0.162 0.750 x4
Se: 0.000 0.000 0.000 x4
Se: 0.000 0.262 0.609 x8
Se: 0.000 0.430 0.250 x4

Top 8 peaks for 2θ = 15–90°, in order of rising 2θ:
2theta, d [Å], I (rel.), hkl
27.6, 3.227, 45, 0 2 4
29.2, 3.063, 96, 1 3 1
31.1, 2.875, 100, 1 3 2
33.4, 2.679, 30, 0 2 5
38.5, 2.339, 21, 1 1 5
42.6, 2.121, 73, 1 5 3
43.7, 2.073, 40, 2 0 0
52.5, 1.743, 25, 2 2 4

No. 12
# RbCuSi
Theoretical X-ray diffraction stick pattern, CuKα. Input: DFT lattice parameters and positions (PBE).

Cell and atoms:
Lattice parameters (Å, degrees): 4.0506 4.0506 5.7612 90.00 90.00 120.00
Space group P-6m2 (No. 187)
Asymmetric unit:
Rb: 0.0000 0.0000 0.0000 x1
Cu: 0.6667 0.3333 0.5000 x1
Si: 0.3333 0.6667 0.5000 x1

Top 8 peaks for 2θ = 15–90°, in order of rising 2θ:
2theta, d [Å], I (rel.), hkl
25.4, 3.508, 10, 1 0 0
29.8, 2.996, 100, 1 0 1
31.0, 2.881, 26, 0 0 2
44.7, 2.025, 27, 1 1 0
54.5, 1.684, 17, 1 0 3
54.7, 1.678, 17, 2 0 1
55.5, 1.657, 28, 1 1 2
73.3, 1.292, 14, 2 1 1

No. 13
# RbCu9Si4
Theoretical X-ray diffraction stick pattern, CuKα. Input: DFT lattice parameters and positions (PBE).

Cell and atoms:
Lattice parameters (Å, degrees): 8.213 8.213 11.795 90.00 90.00 90.00
Space group I4/mcm (No. 140)
Asymmetric unit:
Rb: 0.000 0.000 0.250 x4
Cu: 0.000 0.500 0.000 x4
Cu: 0.065 0.206 0.000 x16
Cu: 0.123 0.377 0.183 x16
Si: 0.176 0.324 0.385 x16

Top 8 peaks for 2θ = 15–90°, in order of rising 2θ:
2theta, d [Å], I (rel.), hkl
25.4, 3.507, 20, 2 1 1
34.4, 2.605, 19, 2 2 2
37.6, 2.395, 19, 2 0 4
37.9, 2.377, 100, 3 1 2
45.7, 1.985, 53, 2 1 5
46.1, 1.971, 63, 3 2 3
46.2, 1.964, 49, 0 0 6
46.9, 1.937, 23, 3 3 0